1.
This entry pairs a crystal structure of AgHg2OF2 with its simulated powder diffraction line list. Radiation: a wavelength of 1.5418 Å. Structure: DFT lattice parameters and positions (GGA-PBE).
No peak broadening, texture or thermal motion is included.

Atomic structure:
Lattice parameters (Å, degrees): 13.4835 5.3382 5.4903 90.00 90.00 90.00
Space group Cmc2_1 (No. 36)
One atom of each set of equivalent atoms:
Ag1 0.0000 0.2216 0.0000 (multiplicity 4)
Hg1 0.1387 0.2178 0.4331 (multiplicity 8)
O1 0.0000 0.3475 0.5929 (multiplicity 4)
F1 0.1991 0.3205 0.8840 (multiplicity 8)

Principal peaks in the range 10° ≤ 2θ ≤ 90°, by angle:
d/Å	I (rel.)	index
3.682	24.1	1 1 1
3.371	11.8	4 0 0
2.914	100.0	3 1 1
2.745	33.2	0 0 2
2.669	30.5	0 2 0
2.204	19.4	5 1 1
2.129	12.5	4 0 2
1.914	19.4	0 2 2
1.720	19.4	7 1 1
1.664	9.8	4 2 2
1.615	16.1	3 1 3
1.584	13.7	3 3 1

2.
This entry pairs a crystal structure of PmAgHgF6 with its simulated powder diffraction line list. Radiation: a wavelength of 1.5418 Å. Structure: DFT lattice parameters and positions (GGA-PBE).
No peak broadening, texture or thermal motion is included.

Atomic structure:
Lattice parameters (Å, degrees): 5.4221 5.4221 11.2390 90.00 90.00 90.00
Space group P4_2nm (No. 102)
One atom of each set of equivalent atoms:
Pm1 0.0000 0.0000 0.0000 (multiplicity 2)
Ag1 0.0000 0.0000 0.3335 (multiplicity 2)
Hg1 0.0000 0.0000 0.6673 (multiplicity 2)
F1 0.1842 0.1842 0.8389 (multiplicity 4)
F2 0.2007 0.2007 0.1497 (multiplicity 4)
F3 0.2044 0.2044 0.5098 (multiplicity 4)

Principal peaks in the range 10° ≤ 2θ ≤ 90°, by angle:
d/Å	I (rel.)	index
3.834	100.0	1 1 0
3.082	90.7	1 0 3
2.711	24.5	2 0 0
2.036	76.0	2 1 3
1.917	18.4	2 2 0
1.715	17.3	3 1 0
1.683	19.4	1 1 6
1.628	23.1	3 0 3
1.396	15.1	3 2 3
1.340	11.2	2 2 6
1.265	13.0	3 1 6
1.241	13.2	4 1 3

3.
This entry pairs a crystal structure of Rb2AgHg3F8 with its simulated powder diffraction line list. Radiation: a wavelength of 1.5418 Å. Structure: DFT lattice parameters and positions (GGA-PBE).
No peak broadening, texture or thermal motion is included.

Atomic structure:
Lattice parameters (Å, degrees): 6.9790 6.9790 20.2648 90.00 90.00 120.00
Space group R3m (No. 160, hexagonal axes)
One atom of each set of equivalent atoms:
Rb1 0.0000 0.0000 0.0000 (multiplicity 3)
Rb2 0.0000 0.0000 0.3551 (multiplicity 3)
Ag1 0.0000 0.0000 0.7359 (multiplicity 3)
Hg1 0.1812 0.3624 0.1959 (multiplicity 9)
F1 0.0000 0.0000 0.1380 (multiplicity 3)
F2 0.0000 0.0000 0.6224 (multiplicity 3)
F3 0.0141 0.5070 0.1192 (multiplicity 9)
F4 0.1795 0.3590 0.9208 (multiplicity 9)

Principal peaks in the range 10° ≤ 2θ ≤ 90°, by angle:
d/Å	I (rel.)	index
6.755	83.1	0 0 3
5.792	37.4	1 0 1
3.883	50.2	1 0 4
3.371	88.4	0 0 6
3.100	100.0	1 1 3
2.989	91.1	0 2 1
2.896	54.4	2 0 2
2.595	62.2	0 2 4
2.091	49.4	0 2 7
1.941	61.5	2 0 8
1.931	36.3	0 3 3
1.745	46.6	2 2 0

4.
This entry pairs a crystal structure of RbAg2Hg2F7 with its simulated powder diffraction line list. Radiation: a wavelength of 1.5418 Å. Structure: DFT lattice parameters and positions (GGA-PBE).
No peak broadening, texture or thermal motion is included.

Atomic structure:
Lattice parameters (Å, degrees): 4.5326 4.8673 10.6932 102.96 101.94 90.01
Space group P-1 (No. 2)
One atom of each set of equivalent atoms:
Rb1 0.0000 0.0000 0.0000 (multiplicity 1)
Ag1 0.2692 0.7739 0.5491 (multiplicity 2)
Hg1 0.3909 0.3902 0.7759 (multiplicity 2)
F1 0.1092 0.6105 0.2240 (multiplicity 2)
F2 0.2743 0.2705 0.5405 (multiplicity 2)
F3 0.3957 0.8970 0.7891 (multiplicity 2)
F4 0.5000 0.5000 0.0000 (multiplicity 1)

Principal peaks in the range 10° ≤ 2θ ≤ 90°, by angle:
d/Å	I (rel.)	index
4.734	35.6	0 1 0
4.424	55.8	1 0 -1
3.779	34.6	1 0 1
3.760	38.6	1 0 -2
3.156	53.9	1 1 0
3.124	100.0	0 1 2
2.784	27.9	1 -1 2
2.774	26.8	1 1 -3
2.546	29.4	0 0 4
2.434	56.8	0 2 -1
2.266	45.8	2 0 -1
1.659	33.3	2 -2 0

5.
This entry pairs a crystal structure of AgHg2RhF8 with its simulated powder diffraction line list. Radiation: a wavelength of 1.5418 Å. Structure: DFT lattice parameters and positions (GGA-PBE).
No peak broadening, texture or thermal motion is included.

Atomic structure:
Lattice parameters (Å, degrees): 4.4573 7.4766 5.5694 90.00 104.48 90.00
Space group P2/m (No. 10)
One atom of each set of equivalent atoms:
Ag1 0.0000 0.0000 0.0000 (multiplicity 1)
Hg1 0.5000 0.2479 0.5000 (multiplicity 2)
Rh1 0.0000 0.5000 0.0000 (multiplicity 1)
F1 0.0378 0.2989 0.7691 (multiplicity 4)
F2 0.4290 0.5000 0.2213 (multiplicity 2)
F3 0.4722 0.0000 0.7404 (multiplicity 2)

Principal peaks in the range 10° ≤ 2θ ≤ 90°, by angle:
d/Å	I (rel.)	index
3.875	89.3	1 0 -1
3.072	100.0	0 2 1
3.021	50.6	1 0 1
2.826	48.3	1 2 0
2.695	25.3	0 0 2
2.158	28.1	2 0 0
2.133	54.6	1 2 -2
1.898	26.2	2 2 -1
1.869	18.5	0 4 0
1.808	30.5	1 2 2
1.684	17.6	1 4 -1
1.658	15.8	2 2 1

6.
This entry pairs a crystal structure of Zr3AgHg3F20 with its simulated powder diffraction line list. Radiation: a wavelength of 1.5418 Å. Structure: DFT lattice parameters and positions (GGA-PBE).
No peak broadening, texture or thermal motion is included.

Atomic structure:
Lattice parameters (Å, degrees): 10.8670 10.8670 8.6644 90.00 90.00 120.00
Space group P6_3/m (No. 176)
One atom of each set of equivalent atoms:
Zr1 0.1403 0.4170 0.2500 (multiplicity 6)
Ag1 0.0000 0.0000 0.2500 (multiplicity 2)
Hg1 0.1626 0.4312 0.7500 (multiplicity 6)
F1 0.0000 0.0000 0.0000 (multiplicity 2)
F2 0.0287 0.7995 0.7500 (multiplicity 6)
F3 0.0556 0.5886 0.7500 (multiplicity 6)
F4 0.0568 0.7744 0.2500 (multiplicity 6)
F5 0.1458 0.4265 0.0169 (multiplicity 12)
F6 0.1844 0.6333 0.2500 (multiplicity 6)
F7 0.3333 0.6667 0.7500 (multiplicity 2)

Principal peaks in the range 10° ≤ 2θ ≤ 90°, by angle:
d/Å	I (rel.)	index
6.374	14.8	1 0 1
4.332	67.8	0 0 2
3.557	100.0	1 2 0
2.749	53.1	1 2 2
2.166	16.1	0 0 4
2.054	32.4	4 1 0
1.856	29.5	4 1 2
1.850	31.2	1 2 4
1.779	15.0	2 4 0
1.645	13.9	2 4 2
1.490	21.4	4 1 4
1.375	12.2	2 4 4

7.
This entry pairs a crystal structure of HoAgF with its simulated powder diffraction line list. Radiation: a wavelength of 1.5418 Å. Structure: DFT lattice parameters and positions (GGA-PBE).
No peak broadening, texture or thermal motion is included.

Atomic structure:
Lattice parameters (Å, degrees): 9.3524 3.8154 8.2244 90.00 122.09 90.00
Space group C2/m (No. 12)
One atom of each set of equivalent atoms:
Ho1 0.1819 0.0000 0.2632 (multiplicity 4)
Ag1 0.1202 0.5000 0.9405 (multiplicity 4)
F1 0.2015 0.0000 0.5623 (multiplicity 4)

Principal peaks in the range 10° ≤ 2θ ≤ 90°, by angle:
d/Å	I (rel.)	index
6.968	34.2	0 0 1
4.672	30.8	2 0 -1
3.962	24.5	2 0 0
3.410	15.7	1 1 -1
2.835	100.0	1 1 1
2.736	42.6	2 0 -3
2.364	59.1	3 1 -2
2.245	28.1	4 0 -1
2.206	19.9	1 1 2
2.171	16.2	1 1 -3
1.908	20.6	0 2 0
1.565	15.3	2 2 -3

8.
This entry pairs a crystal structure of RbHoAgF5 with its simulated powder diffraction line list. Radiation: a wavelength of 1.5418 Å. Structure: DFT lattice parameters and positions (GGA-PBE).
No peak broadening, texture or thermal motion is included.

Atomic structure:
Lattice parameters (Å, degrees): 7.2688 11.1249 8.3649 90.00 106.35 90.00
Space group C2/c (No. 15)
One atom of each set of equivalent atoms:
Rb1 0.0000 0.1637 0.2500 (multiplicity 4)
Ho1 0.0000 0.5000 0.0000 (multiplicity 4)
Ag1 0.0000 0.1733 0.7500 (multiplicity 4)
F1 0.0000 0.4386 0.2500 (multiplicity 4)
F2 0.0915 0.3198 0.5838 (multiplicity 8)
F3 0.1993 0.0466 0.9469 (multiplicity 8)

Principal peaks in the range 10° ≤ 2θ ≤ 90°, by angle:
d/Å	I (rel.)	index
5.909	28.5	1 1 0
3.763	96.2	1 1 -2
3.487	73.6	2 0 0
3.274	100.0	1 3 0
3.255	65.1	0 2 2
3.004	31.8	1 1 2
2.708	21.1	2 2 -2
2.286	23.1	0 4 2
2.266	23.7	3 1 -2
1.970	33.9	3 3 0
1.944	20.1	1 5 -2
1.822	25.5	1 3 -4